Theoretical powder X-ray diffraction pattern
Compound: LaIrF6
Radiation: Cu Kα (weighted mean of Kα1 and Kα2)
Structure: DFT lattice parameters and positions (PBE)
Peak positions follow from Bragg's law for the DFT cell and can differ from measured ones.

Unit cell a=6.308 b=7.101 c=4.748 alpha=90.00 beta=99.63 gamma=90.00
Space group C2/m (No. 12)
Asymmetric unit:
La (0.000, 0.000, 0.000) (multiplicity 2)
Ir (0.000, 0.500, 0.500) (multiplicity 2)
F (0.129, 0.319, 0.809) (multiplicity 8)
F (0.191, 0.000, 0.557) (multiplicity 4)

Main lines, by angle (10 to 90 degrees two-theta):
- (0 2 0), 2θ = 25.13°, rel. 1000
- (1 1 1), 2θ = 28.65°, rel. 627
- (2 2 0), 2θ = 38.48°, rel. 301
- (1 3 1), 2θ = 46.45°, rel. 399
- (3 1 -1), 2θ = 46.64°, rel. 197
- (2 0 2), 2θ = 52.78°, rel. 157